Record 1
For Na8FeO6, a DFT-relaxed cell (PBE+U, the Materials Project) gives the calculated powder diffraction line list in this record (CuKα).
Neutral-atom scattering factors, no anomalous dispersion.

Principal peaks in the range 10 to 80 degrees two-theta, in order of rising 2θ:
16.11°, rel. 47; 21.20°, rel. 63; 21.47°, rel. 42; 28.01°, rel. 45; 28.86°, rel. 45; 29.01°, rel. 45; 29.32°, rel. 49; 31.37°, rel. 39; 49.70°, rel. 100; 50.29°, rel. 46

Structural model:
```
30
Lattice="5.445 -3.189 0.000 5.445 3.189 0.000 -0.323 0.000 12.739" Properties=species:S:1:pos:R:3 pbc="T T T"
Na 5.283 3.175 6.370
Na 1.992 0.959 1.847
Na 3.408 1.859 8.163
Na 5.174 0.975 1.788
Na 6.896 1.953 3.690
Na 5.514 1.227 10.052
Na 1.831 -0.959 8.217
Na 3.570 -1.859 1.793
Na 5.012 -0.975 8.158
Na 7.085 0.013 6.370
Na 7.247 -0.013 0.001
Na 5.675 -1.227 3.683
Na 8.852 0.693 10.051
Na 9.013 -0.693 3.681
Na 6.734 -1.953 10.060
Na 5.445 -3.175 0.000
Fe 3.514 0.011 5.309
Fe 3.353 -0.011 11.678
O 5.232 3.172 8.803
O 3.417 1.783 5.853
O 1.841 0.873 12.291
O 4.827 0.964 12.219
O 3.594 0.042 3.372
O 2.003 -0.873 5.922
O 3.432 -0.042 9.742
O 3.256 -1.783 12.223
O 4.988 -0.964 5.850
O 7.197 0.026 2.430
O 7.035 -0.026 8.800
O 5.394 -3.172 2.433
```

Record 2
For Li2V3O6, a DFT-relaxed cell (PBE+U, the Materials Project) gives the calculated powder diffraction line list in this record (CuKα).
Neutral-atom scattering factors, no anomalous dispersion.

Principal peaks in the range 10 to 80 degrees two-theta, in order of rising 2θ:
17.93°, rel. 100; 35.20°, rel. 24; 35.63°, rel. 11; 42.60°, rel. 47; 42.95°, rel. 22; 56.09°, rel. 9; 61.50°, rel. 12; 61.83°, rel. 12; 62.68°, rel. 12; 65.77°, rel. 9

Structural model:
```
22
Lattice="5.019 -4.501 0.000 5.019 4.501 0.000 -0.865 0.000 5.040" Properties=species:S:1:pos:R:3 pbc="T T T"
Li 2.279 0.000 1.204
Li 1.869 -1.477 3.833
Li 6.893 0.000 3.836
Li 7.303 -1.477 1.207
V 5.019 3.001 0.000
V 4.586 1.519 2.520
V 5.019 0.009 0.000
V 4.586 -1.531 2.520
V 5.019 -2.985 0.000
V 4.586 -4.440 2.520
O 3.398 3.049 3.250
O 0.342 -0.074 4.450
O 3.818 1.506 0.682
O 5.774 3.049 1.790
O 3.399 -0.021 3.259
O 5.354 1.506 4.358
O 3.800 -1.409 0.604
O 5.773 -0.021 1.781
O 3.350 -2.987 3.200
O 5.372 -1.409 4.436
O 8.830 -0.074 0.590
O 5.822 -2.987 1.840
```

Record 3
For Li2MnF4, a DFT-relaxed cell (PBE+U, the Materials Project) gives the calculated powder diffraction line list in this record (CuKα).
Neutral-atom scattering factors, no anomalous dispersion.

Principal peaks in the range 10 to 80 degrees two-theta, in order of rising 2θ:
17.83°, rel. 48; 29.33°, rel. 100; 34.53°, rel. 68; 36.12°, rel. 50; 45.92°, rel. 35; 52.01°, rel. 33; 55.42°, rel. 35; 60.83°, rel. 57; 63.94°, rel. 8; 68.94°, rel. 12

Structural model:
```
14
Lattice="0.000 4.307 4.307 4.307 0.000 4.307 4.307 4.307 0.000" Properties=species:S:1:pos:R:3 pbc="T T T"
Li 0.000 0.000 0.000
Li 2.154 2.154 0.000
Li 2.154 0.000 2.154
Li 0.000 2.154 2.154
Mn 3.230 3.230 3.230
Mn 5.384 5.384 5.384
F 6.551 4.217 4.217
F 2.064 2.064 2.064
F 4.397 4.397 2.064
F 4.397 2.064 4.397
F 4.217 6.551 4.217
F 4.217 4.217 6.551
F 6.551 6.551 6.551
F 2.064 4.397 4.397
```

Record 4
For ZrFeP3PbO12, a DFT-relaxed cell (PBE+U, the Materials Project) gives the calculated powder diffraction line list in this record (CuKα).
Neutral-atom scattering factors, no anomalous dispersion.

Principal peaks in the range 10 to 80 degrees two-theta, in order of rising 2θ:
13.86°, rel. 27; 20.22°, rel. 100; 23.20°, rel. 26; 24.60°, rel. 23; 30.53°, rel. 94; 32.05°, rel. 22; 35.40°, rel. 32; 42.43°, rel. 24; 47.44°, rel. 31; 60.56°, rel. 22

Structural model:
```
36
Lattice="4.391 2.535 7.857 -4.391 2.535 7.857 0.000 -5.071 7.857" Properties=species:S:1:pos:R:3 pbc="T T T"
Zr 0.000 0.000 0.000
Zr 0.000 0.000 11.786
Fe 0.000 0.000 7.060
Fe 0.000 0.000 18.846
P -1.350 -2.110 9.300
P -3.239 -0.311 13.228
P -1.153 2.224 9.300
P 1.889 -2.649 13.228
P 2.502 -0.114 9.300
P 1.350 2.961 13.228
Pb 0.000 0.000 3.738
Pb 0.000 0.000 15.524
O -3.886 -0.924 11.982
O -0.753 -3.534 9.095
O -1.499 0.314 5.575
O -1.142 -1.243 8.053
O -3.417 -1.158 14.502
O 0.478 -1.455 5.575
O -2.684 2.419 9.095
O -0.706 -1.532 10.573
O -1.708 -0.116 13.023
O -0.506 1.611 8.053
O 1.021 1.142 5.575
O -0.974 1.378 10.573
O 1.648 -0.367 8.053
O 0.954 -1.421 13.023
O -0.478 -1.455 17.361
O 2.743 -2.903 11.982
O 1.680 0.155 10.573
O -1.021 1.142 17.361
O 0.753 1.537 13.023
O 2.711 -2.381 14.502
O 3.437 1.115 9.095
O 1.142 3.827 11.982
O 1.499 0.314 17.361
O 0.706 3.538 14.502
```

Record 5
For Li2CrC2O6, a DFT-relaxed cell (PBE+U, the Materials Project) gives the calculated powder diffraction line list in this record (CuKα).
Neutral-atom scattering factors, no anomalous dispersion.

Principal peaks in the range 10 to 80 degrees two-theta, in order of rising 2θ:
18.83°, rel. 100; 19.48°, rel. 11; 24.21°, rel. 37; 29.96°, rel. 13; 32.51°, rel. 14; 32.87°, rel. 32; 33.69°, rel. 11; 34.32°, rel. 35; 42.26°, rel. 13; 43.55°, rel. 11

Structural model:
```
22
Lattice="5.504 0.000 0.000 2.749 5.450 0.000 2.731 -0.008 8.314" Properties=species:S:1:pos:R:3 pbc="T T T"
Li 0.000 0.000 0.000
Li 4.116 2.721 6.611
Li 5.504 4.419 2.456
Li 6.878 1.693 4.156
Cr 3.164 2.207 1.225
Cr 7.283 4.935 5.386
C 4.347 1.912 3.736
C 8.459 5.221 7.889
C 7.091 2.500 7.030
C 8.476 4.637 2.877
O 3.938 5.101 3.581
O 3.192 4.235 1.642
O 3.145 1.820 3.242
O 5.888 2.594 7.523
O 7.255 5.317 7.405
O 4.564 1.515 4.973
O 3.209 0.176 0.810
O 5.313 2.371 3.031
O 7.274 4.544 3.369
O 7.310 2.903 5.796
O 8.056 2.033 7.733
O 9.418 4.757 7.177
```